Diffraction record for Li7Pm3Pd4. The X-ray diffraction stick pattern is theoretical, not measured: it uses the PBE geometry in Alexandria and Cu Kα (λ = 1.5418 Å).

Most intense lines, 2θ = 10–80°, low angle first:
hkl, 2theta, Rel. int.
0 0 1, 10.60, 63
2 0 -2, 17.27, 48
0 0 2, 21.30, 77
2 0 1, 21.87, 33
3 1 0, 29.96, 67
2 0 2, 31.70, 36
3 1 -3, 33.92, 100
6 0 -3, 34.82, 32
5 1 -2, 35.63, 80
3 1 1, 35.88, 47
3 1 -4, 41.45, 57
0 2 0, 43.51, 41

Cell and atoms:
```
data_Li7Pm3Pd4
_chemical_formula_sum 'Li14 Pm6 Pd8'
_space_group_name_H-M_alt 'C 1 2/m 1'
_space_group_IT_number 12
_space_group_name_Hall '-C 2y'
_cell_length_a 15.8465
_cell_length_b 4.1596
_cell_length_c 10.3033
_cell_angle_alpha 90.00
_cell_angle_beta 125.91
_cell_angle_gamma 90.00
loop_
_atom_site_label
_atom_site_type_symbol
_atom_site_fract_x
_atom_site_fract_y
_atom_site_fract_z
Li1 Li 0.0000 0.0000 0.0000
Li2 Li 0.0191 0.5000 0.8051
Li3 Li 0.1673 0.0000 0.9304
Li4 Li 0.1732 0.5000 0.5011
Pm1 Pm 0.0000 0.0000 0.5000
Pm2 Pm 0.2036 0.5000 0.2326
Pd1 Pd 0.1065 0.0000 0.3181
Pd2 Pd 0.1573 0.5000 0.7460
```

---

Diffraction record for BaU2CrS8. The X-ray diffraction stick pattern is theoretical, not measured: it uses the PBE geometry in Alexandria and Cu Kα (λ = 1.5418 Å).

Most intense lines, 2θ = 10–80°, low angle first:
hkl, 2theta, Rel. int.
0 0 1, 14.06, 36
1 0 0, 14.71, 31
1 0 -1, 19.54, 100
1 0 1, 21.23, 72
0 2 1, 25.86, 53
1 2 0, 26.23, 76
1 2 -1, 29.28, 31
1 2 -2, 38.05, 37
2 2 -1, 38.83, 47
1 2 2, 39.92, 26
2 2 1, 40.66, 36
0 2 3, 48.70, 35

Cell and atoms:
```
data_BaU2CrS8
_chemical_formula_sum 'Ba1 U2 Cr1 S8'
_space_group_name_H-M_alt 'P 1 2/m 1'
_space_group_IT_number 10
_space_group_name_Hall '-P 2y'
_cell_length_a 6.0433
_cell_length_b 8.2310
_cell_length_c 6.3194
_cell_angle_alpha 90.00
_cell_angle_beta 94.69
_cell_angle_gamma 90.00
loop_
_atom_site_label
_atom_site_type_symbol
_atom_site_fract_x
_atom_site_fract_y
_atom_site_fract_z
Ba1 Ba 0.0000 0.0000 0.0000
U1 U 0.5000 0.2602 0.5000
Cr1 Cr 0.0000 0.5000 0.0000
S1 S 0.2385 0.3051 0.1731
S2 S 0.2805 0.5000 0.6566
S3 S 0.2857 0.0000 0.6165
```